Starting from a crystal structure in Alexandria, relaxed with PBE, the powder XRD pattern of Dy7AlSe5 was simulated for Cu Kα.

Structure:
```
data_Dy7AlSe5
_chemical_formula_sum 'Dy28 Al4 Se20'
_cell_length_a 4.015
_cell_length_b 13.456
_cell_length_c 24.231
_cell_angle_alpha 90.00
_cell_angle_beta 90.00
_cell_angle_gamma 90.00
_symmetry_space_group_name_H-M 'C m c m'
_symmetry_Int_Tables_number 63
_symmetry_space_group_name_Hall '-C 2c 2'
loop_
_atom_site_label
_atom_site_type_symbol
_atom_site_fract_x
_atom_site_fract_y
_atom_site_fract_z
Dy1 Dy 0.000 0.023 0.250
Dy2 Dy 0.000 0.138 0.536
Dy3 Dy 0.000 0.311 0.179
Dy4 Dy 0.000 0.405 0.619
Al1 Al 0.000 0.310 0.750
Se1 Se 0.000 0.051 0.641
Se2 Se 0.000 0.224 0.072
Se3 Se 0.000 0.500 0.000
```

Largest 12 diffraction maxima, low angle first, 2θ = 10–90°:
27.48°, rel. 37, hkl 1 1 4; 29.01°, rel. 78, hkl 0 2 7; 30.10°, rel. 39, hkl 1 3 1; 30.79°, rel. 100, hkl 1 3 2; 31.90°, rel. 59, hkl 1 3 3; 32.42°, rel. 48, hkl 0 2 8; 40.91°, rel. 37, hkl 1 1 9; 44.17°, rel. 27, hkl 1 1 10; 44.64°, rel. 34, hkl 1 5 5; 45.16°, rel. 38, hkl 2 0 0; 46.43°, rel. 25, hkl 1 5 6; 54.58°, rel. 27, hkl 2 2 7